For CsHfCr2O8, a crystal structure in Alexandria, relaxed with GGA+U gives the theoretical powder diffractogram in this record (Cu Kα (weighted mean of Kα1 and Kα2)).
Intensities are scaled so that the largest is 100.

Main lines, low angle first (2θ = 10–80°):
| 2θ/deg | I (rel.) |
| --- | --- |
| 10.31 | 32 |
| 18.10 | 72 |
| 18.51 | 51 |
| 20.70 | 50 |
| 27.36 | 100 |
| 27.90 | 47 |
| 28.44 | 27 |
| 31.37 | 30 |
| 32.11 | 57 |
| 42.11 | 26 |

Cell and atoms:
```
CsHfCr2O8
1.0
4.7969 -2.8513 0.0000
4.7969 2.8513 0.0000
-0.3255 0.0000 8.5831
Cs Hf Cr O
1 1 2 8
direct
0.0000 0.0000 0.0000 Cs
0.0000 0.0000 0.5000 Hf
0.3529 0.3529 0.7048 Cr
0.6471 0.6471 0.2952 Cr
0.1983 0.6931 0.6599 O
0.2001 0.2001 0.5981 O
0.3069 0.8017 0.3401 O
0.3296 0.3296 0.8919 O
0.6704 0.6704 0.1081 O
0.6931 0.1983 0.6599 O
0.7999 0.7999 0.4019 O
0.8017 0.3069 0.3401 O
```